1.
For GdFeAsO, a DFT-relaxed cell (GGA+U, the Materials Project) gives the theoretical X-ray powder pattern in this record (λ = 1.5418 Å (Cu Kα)).
Peak positions follow from Bragg's law for the DFT cell and can differ from measured ones.

Structural model:
```
GdFeAsO
1.0
3.997 0.000 0.000
0.000 3.997 0.000
0.000 0.000 9.111
Gd Fe As O
2 2 2 2
Direct
0.250 0.250 0.123 Gd
0.750 0.750 0.877 Gd
0.250 0.750 0.500 Fe
0.750 0.250 0.500 Fe
0.250 0.250 0.683 As
0.750 0.750 0.317 As
0.250 0.750 0.000 O
0.750 0.250 0.000 O
```

Largest 10 diffraction maxima, by intensity, 2θ = 10–80°:
- 2θ = 29.74°, I = 100
- 2θ = 55.21°, I = 35
- 2θ = 45.39°, I = 32
- 2θ = 51.54°, I = 26
- 2θ = 33.19°, I = 24
- 2θ = 37.18°, I = 23
- 2θ = 31.66°, I = 23
- 2θ = 37.45°, I = 18
- 2θ = 60.06°, I = 11
- 2θ = 66.13°, I = 10

2.
For KFe3As4H2O16, a DFT-relaxed cell (GGA+U, the Materials Project) gives the theoretical X-ray powder pattern in this record (λ = 1.5418 Å (Cu Kα)).
Peak positions follow from Bragg's law for the DFT cell and can differ from measured ones.

Structural model:
```
KFe3As4H2O16
1.0
9.706 -3.344 0.000
9.706 3.344 0.000
-2.017 0.000 10.954
K Fe As H O
2 6 8 4 32
Direct
0.162 0.838 0.750 K
0.838 0.162 0.250 K
0.000 0.500 0.000 Fe
0.331 0.368 0.775 Fe
0.368 0.331 0.275 Fe
0.500 0.000 0.500 Fe
0.632 0.669 0.725 Fe
0.669 0.632 0.225 Fe
0.179 0.215 0.730 As
0.215 0.179 0.230 As
0.259 0.582 0.052 As
0.418 0.741 0.448 As
0.582 0.259 0.552 As
0.741 0.418 0.948 As
0.785 0.821 0.770 As
0.821 0.785 0.270 As
0.204 0.723 0.403 H
0.277 0.796 0.097 H
0.723 0.204 0.903 H
0.796 0.277 0.597 H
0.032 0.669 0.035 O
0.034 0.674 0.752 O
0.075 0.633 0.315 O
0.160 0.822 0.090 O
0.178 0.840 0.410 O
0.205 0.320 0.861 O
0.234 0.287 0.137 O
0.287 0.234 0.637 O
0.320 0.205 0.361 O
0.326 0.966 0.748 O
0.331 0.968 0.465 O
0.367 0.925 0.185 O
0.386 0.470 0.919 O
0.412 0.426 0.666 O
0.426 0.412 0.166 O
0.470 0.386 0.419 O
0.530 0.614 0.581 O
0.574 0.588 0.834 O
0.588 0.574 0.334 O
0.614 0.530 0.081 O
0.633 0.075 0.815 O
0.669 0.032 0.535 O
0.674 0.034 0.252 O
0.680 0.795 0.639 O
0.713 0.766 0.363 O
0.766 0.713 0.863 O
0.795 0.680 0.139 O
0.822 0.160 0.590 O
0.840 0.178 0.910 O
0.925 0.367 0.685 O
0.966 0.326 0.248 O
0.968 0.331 0.965 O
```

Largest 10 diffraction maxima, by intensity, 2θ = 10–80°:
- 2θ = 26.89°, I = 100
- 2θ = 15.78°, I = 91
- 2θ = 27.48°, I = 81
- 2θ = 31.34°, I = 73
- 2θ = 16.62°, I = 53
- 2θ = 29.81°, I = 48
- 2θ = 35.09°, I = 42
- 2θ = 31.87°, I = 41
- 2θ = 14.03°, I = 41
- 2θ = 32.34°, I = 39

3.
For Fe2As2H2PbO10, a DFT-relaxed cell (GGA+U, the Materials Project) gives the theoretical X-ray powder pattern in this record (λ = 1.5418 Å (Cu Kα)).
Peak positions follow from Bragg's law for the DFT cell and can differ from measured ones.

Structural model:
```
Fe2As2H2PbO10
1.0
4.620 -3.161 0.000
4.620 3.161 0.000
-3.176 0.000 7.051
Fe As H Pb O
2 2 2 1 10
Direct
0.000 0.500 0.000 Fe
0.500 0.000 0.000 Fe
0.081 0.081 0.286 As
0.919 0.919 0.714 As
0.295 0.295 0.768 H
0.705 0.705 0.232 H
0.500 0.500 0.500 Pb
0.188 0.740 0.233 O
0.189 0.189 0.140 O
0.221 0.221 0.511 O
0.260 0.812 0.767 O
0.325 0.325 0.907 O
0.675 0.675 0.093 O
0.740 0.188 0.233 O
0.779 0.779 0.489 O
0.811 0.811 0.860 O
0.812 0.260 0.767 O
```

Largest 10 diffraction maxima, by intensity, 2θ = 10–80°:
- 2θ = 27.03°, I = 100
- 2θ = 18.91°, I = 98
- 2θ = 28.81°, I = 71
- 2θ = 32.34°, I = 65
- 2θ = 31.01°, I = 64
- 2θ = 34.41°, I = 39
- 2θ = 34.66°, I = 38
- 2θ = 53.48°, I = 35
- 2θ = 58.42°, I = 35
- 2θ = 19.62°, I = 32

4.
For KFeAs2O7, a DFT-relaxed cell (GGA+U, the Materials Project) gives the theoretical X-ray powder pattern in this record (λ = 1.5418 Å (Cu Kα)).
Peak positions follow from Bragg's law for the DFT cell and can differ from measured ones.

Structural model:
```
KFeAs2O7
1.0
7.830 0.000 0.000
2.458 8.223 0.000
0.072 0.015 10.309
K Fe As O
4 4 8 28
Direct
0.164 0.460 0.176 K
0.176 0.939 0.325 K
0.824 0.061 0.675 K
0.836 0.540 0.824 K
0.234 0.736 0.905 Fe
0.235 0.230 0.599 Fe
0.765 0.770 0.401 Fe
0.766 0.264 0.095 Fe
0.124 0.665 0.603 As
0.152 0.151 0.920 As
0.441 0.320 0.855 As
0.446 0.797 0.630 As
0.554 0.203 0.370 As
0.559 0.680 0.145 As
0.848 0.849 0.080 As
0.876 0.335 0.397 As
0.002 0.711 0.990 O
0.009 0.217 0.512 O
0.080 0.778 0.742 O
0.102 0.192 0.761 O
0.108 0.474 0.621 O
0.184 0.958 0.972 O
0.282 0.500 0.874 O
0.327 0.982 0.574 O
0.337 0.262 0.422 O
0.346 0.656 0.551 O
0.354 0.681 0.091 O
0.363 0.185 0.957 O
0.446 0.757 0.793 O
0.454 0.241 0.701 O
0.546 0.759 0.299 O
0.554 0.243 0.207 O
0.637 0.815 0.043 O
0.646 0.319 0.909 O
0.654 0.344 0.449 O
0.663 0.738 0.578 O
0.673 0.018 0.426 O
0.718 0.500 0.126 O
0.816 0.042 0.028 O
0.892 0.526 0.379 O
0.898 0.808 0.239 O
0.920 0.222 0.258 O
0.991 0.783 0.488 O
0.998 0.289 0.010 O
```

Largest 10 diffraction maxima, by intensity, 2θ = 10–80°:
- 2θ = 14.60°, I = 100
- 2θ = 28.99°, I = 97
- 2θ = 28.86°, I = 72
- 2θ = 21.61°, I = 71
- 2θ = 28.51°, I = 50
- 2θ = 20.33°, I = 42
- 2θ = 25.10°, I = 32
- 2θ = 28.64°, I = 30
- 2θ = 34.81°, I = 23
- 2θ = 27.57°, I = 22